Cs2DyBeO4: theoretical X-ray powder pattern (Cu Kα (weighted mean of Kα1 and Kα2)), based on a crystal structure in Alexandria, relaxed with GGA-PBE.
Intensities are scaled so that the largest is 100.

Atomic structure:
```
data_Cs2DyBeO4
_chemical_formula_sum 'Cs16 Dy8 Be8 O32'
_space_group_name_H-M_alt 'F d d d'
_space_group_IT_number 70
_cell_length_a 5.1407
_cell_length_b 12.4103
_cell_length_c 24.0280
_cell_angle_alpha 90.00
_cell_angle_beta 90.00
_cell_angle_gamma 90.00
loop_
_space_group_symop_operation_xyz
'x,y,z'
'-x,-y,-z'
'-x+1/4,-y+1/4,z'
'x+1/4,y+1/4,-z'
'x,-y+1/4,-z+1/4'
'-x,y+1/4,z+1/4'
'-x+1/4,y,-z+1/4'
'x+1/4,-y,z+1/4'
'x,y+1/2,z+1/2'
'-x,-y+1/2,-z+1/2'
'-x+1/4,-y+3/4,z+1/2'
'x+1/4,y+3/4,-z+1/2'
'x,-y+3/4,-z+3/4'
'-x,y+3/4,z+3/4'
'-x+1/4,y+1/2,-z+3/4'
'x+1/4,-y+1/2,z+3/4'
'x+1/2,y,z+1/2'
'-x+1/2,-y,-z+1/2'
'-x+3/4,-y+1/4,z+1/2'
'x+3/4,y+1/4,-z+1/2'
'x+1/2,-y+1/4,-z+3/4'
'-x+1/2,y+1/4,z+3/4'
'-x+3/4,y,-z+3/4'
'x+3/4,-y,z+3/4'
'x+1/2,y+1/2,z'
'-x+1/2,-y+1/2,-z'
'-x+3/4,-y+3/4,z'
'x+3/4,y+3/4,-z'
'x+1/2,-y+3/4,-z+1/4'
'-x+1/2,y+3/4,z+1/4'
'-x+3/4,y+1/2,-z+1/4'
'x+3/4,-y+1/2,z+1/4'
loop_
_atom_site_label
_atom_site_fract_x
_atom_site_fract_y
_atom_site_fract_z
Cs1 0.1250 0.1250 0.3014
Dy1 0.1250 0.1250 0.1250
Be1 0.1250 0.1250 0.6250
O1 0.0631 0.2939 0.8355
```

Principal peaks in the range 15 to 90 degrees two-theta, by angle:
2θ/deg	I_rel	hkl
19.0	73	1 1 1
26.4	56	1 1 5
26.5	100	0 2 6
27.9	41	1 3 1
28.8	37	0 4 0
33.5	52	1 3 5
37.9	36	2 2 0
41.8	28	2 0 6
45.7	24	1 1 11
51.5	31	2 4 6

***

CsBe2InF8: theoretical X-ray powder pattern (Cu Kα (weighted mean of Kα1 and Kα2)), based on a crystal structure in Alexandria, relaxed with GGA-PBE.
Intensities are scaled so that the largest is 100.

Atomic structure:
```
data_CsBe2InF8
_chemical_formula_sum 'Cs2 Be4 In2 F16'
_space_group_name_H-M_alt 'C 1 2/m 1'
_space_group_IT_number 12
_space_group_name_Hall '-C 2y'
_cell_length_a 8.4775
_cell_length_b 5.4726
_cell_length_c 8.7225
_cell_angle_alpha 90.00
_cell_angle_beta 96.82
_cell_angle_gamma 90.00
loop_
_atom_site_label
_atom_site_fract_x
_atom_site_fract_y
_atom_site_fract_z
Cs1 0.0000 0.0000 0.0000
Be1 0.1199 0.5000 0.3010
In1 0.0000 0.0000 0.5000
F1 0.0137 0.2649 0.3259
F2 0.1750 0.5000 0.1445
F3 0.2463 0.0000 0.5557
```

Principal peaks in the range 15 to 90 degrees two-theta, by angle:
2θ/deg	I_rel	hkl
19.3	100	1 1 0
20.5	43	0 0 2
21.1	65	2 0 0
27.4	67	1 1 -2
29.3	59	1 1 2
36.0	38	3 1 0
38.9	34	0 2 2
43.4	25	2 2 -2
45.1	23	1 1 -4
57.3	22	4 2 -2